Diffraction record for BaAlVCuO5. The powder diffraction line list is simulated, not measured: it uses a GGA+U-relaxed structure and Cu Kα.
Peak positions follow from Bragg's law for the DFT cell and can differ from measured ones.

Cell and atoms:
```
9
Lattice="3.6925 0.0000 0.0000 0.0000 3.8171 0.0000 0.0000 0.0000 8.0773" Properties=species:S:1:pos:R:3 pbc="T T T"
Ba 0.0000 0.0000 0.0000
Al 0.0000 0.0000 4.5659
V 1.8463 1.9085 2.7666
Cu 1.8463 1.9085 6.0180
O 0.0000 1.9085 3.4500
O 0.0000 1.9085 5.9187
O 1.8463 0.0000 3.4416
O 1.8463 0.0000 5.9275
O 1.8463 1.9085 0.9183
```

Principal peaks in the range 2θ from 5° to 70°, low angle first:
| two_theta | I (rel.) | h k l |
| --- | --- | --- |
| 10.95 | 48.4 | 0 0 1 |
| 25.82 | 46.4 | 0 1 1 |
| 26.54 | 43.1 | 1 0 1 |
| 32.27 | 100.0 | 0 1 2 |
| 32.87 | 95.6 | 1 0 2 |
| 33.28 | 37.7 | 0 0 3 |
| 33.77 | 79.0 | 1 1 0 |
| 35.61 | 39.9 | 1 1 1 |
| 47.65 | 35.0 | 0 2 0 |
| 59.09 | 33.9 | 1 2 2 |

Diffraction record for Rb3FeO3. The powder diffraction line list is simulated, not measured: it uses a GGA+U-relaxed structure and Cu Kα.
Peak positions follow from Bragg's law for the DFT cell and can differ from measured ones.

Cell and atoms:
```
28
Lattice="7.7172 0.0000 0.0000 0.0000 7.0163 0.0000 -1.0832 0.0000 11.1262" Properties=species:S:1:pos:R:3 pbc="T T T"
Rb 0.2311 0.9002 1.6977
Rb -0.3105 2.6079 7.2608
Rb 1.7495 1.2732 10.3070
Rb 2.2911 2.2349 4.7440
Rb 1.9380 4.8475 8.9604
Rb 2.4796 5.6769 3.3974
Rb 4.1544 1.3394 7.7288
Rb 4.6960 2.1688 2.1657
Rb 4.3429 4.7814 6.3822
Rb 4.8845 5.7430 0.8191
Rb 6.9444 4.4084 3.8654
Rb 6.4028 6.1161 9.4285
Fe 1.1185 4.0798 0.7083
Fe 0.5769 6.4447 6.2714
Fe 6.0571 0.5716 4.8547
Fe 5.5155 2.9365 10.4178
O 0.3049 0.3430 4.5256
O -0.2367 3.1651 10.0887
O 1.2782 4.7095 6.0100
O 1.8198 5.8150 0.4469
O 1.5516 0.3904 7.5505
O 2.0932 3.1177 1.9874
O 4.5408 3.8986 9.1388
O 5.0824 6.6259 3.5757
O 4.8142 1.2013 10.6793
O 5.3558 2.3068 5.1162
O 6.8707 3.8512 1.0375
O 6.3291 6.6732 6.6006
```

Principal peaks in the range 2θ from 5° to 70°, low angle first:
| two_theta | I (rel.) | h k l |
| --- | --- | --- |
| 24.23 | 15.3 | 1 1 2 |
| 26.92 | 19.5 | 2 0 -2 |
| 27.96 | 13.7 | 1 2 0 |
| 28.67 | 27.9 | 1 1 -3 |
| 29.46 | 100.0 | 2 0 2 |
| 29.81 | 47.7 | 2 1 -2 |
| 34.69 | 47.7 | 0 1 4 |
| 35.05 | 14.2 | 3 0 0 |
| 37.54 | 18.0 | 3 1 -1 |
| 46.83 | 13.0 | 1 3 -3 |

Diffraction record for Li4CrTeW2O12. The powder diffraction line list is simulated, not measured: it uses a GGA+U-relaxed structure and Cu Kα.
Peak positions follow from Bragg's law for the DFT cell and can differ from measured ones.

Cell and atoms:
```
20
Lattice="5.1944 0.0000 0.0000 0.0120 5.4681 0.0000 0.0106 0.5518 7.5289" Properties=species:S:1:pos:R:3 pbc="T T T"
Li 0.0000 0.0000 0.0000
Li 0.0591 5.6031 4.0120
Li 2.5785 2.8941 7.3352
Li 2.6370 2.8908 4.0949
Cr 0.0150 2.6554 5.5072
Te 2.6344 5.1451 1.7928
W 0.0413 2.4122 1.7654
W 2.6124 5.3787 5.5432
O 0.6054 2.6703 7.4600
O 0.8897 0.6281 2.2083
O 1.1132 4.2640 5.0330
O 1.5949 1.4688 5.0546
O 1.6872 3.3001 2.2303
O 1.9470 5.4411 7.3861
O 3.3205 5.1997 3.6431
O 3.5820 3.7359 5.8816
O 3.5921 1.3164 1.1987
O 4.1655 0.9603 5.8997
O 4.3274 4.0423 1.2256
O 4.5947 2.4768 3.5454
```

Principal peaks in the range 2θ from 5° to 70°, low angle first:
| two_theta | I (rel.) | h k l |
| --- | --- | --- |
| 20.78 | 15.9 | 1 0 1 |
| 23.65 | 100.0 | 0 0 2 |
| 32.82 | 39.5 | 0 2 0 |
| 34.54 | 27.0 | 2 0 0 |
| 42.29 | 15.2 | 2 0 2 |
| 48.35 | 12.0 | 0 0 4 |
| 53.32 | 17.7 | -1 1 4 |
| 55.71 | 17.3 | 2 -2 2 |
| 60.84 | 9.8 | 1 -3 2 |
| 61.90 | 10.5 | 3 -1 2 |